Structure and calculated X-ray diffraction stick pattern of Tm2PuS3 (a DFT-relaxed cell (PBE, Alexandria); CuKα).

The 8 most intense peaks (2θ from 10° to 90°), by angle:
d/Å	I (rel.)
3.174	47
3.158	47
2.742	100
1.938	48
1.658	16
1.651	31
1.587	13
1.117	13

Atomic structure:
Unit cell a=6.7354 b=6.7354 c=6.7354 alpha=146.64 beta=132.03 gamma=59.69
Sites, in units of the cell vectors:
Tm (0.1662, 0.1662, 0.0000)
Tm (0.8338, 0.8338, 0.0000)
Pu (0.5000, 0.5000, 0.0000)
S (0.0000, 0.5000, 0.5000)
S (0.3287, 0.8287, 0.5000)
S (0.6713, 0.1713, 0.5000)

---

Structure and calculated X-ray diffraction stick pattern of K3Li2NpF9 (a DFT-relaxed cell (PBE, Alexandria); CuKα).

The 8 most intense peaks (2θ from 10° to 90°), by angle:
d/Å	I (rel.)
7.814	40
5.120	75
4.283	100
3.106	73
2.956	37
2.765	23
2.141	54
1.734	27

Atomic structure:
Unit cell a=5.9123 b=5.9123 c=7.8145 alpha=90.00 beta=90.00 gamma=120.00
Sites, in units of the cell vectors:
K (0.0000, 0.0000, 0.0000)
K (0.3333, 0.6667, 0.7450)
K (0.6667, 0.3333, 0.2550)
Li (0.3333, 0.6667, 0.1239)
Li (0.6667, 0.3333, 0.8761)
Np (0.0000, 0.0000, 0.5000)
F (0.0000, 0.5000, 0.0000)
F (0.1673, 0.3345, 0.3311)
F (0.1673, 0.8327, 0.3311)
F (0.3345, 0.1673, 0.6689)
F (0.5000, 0.0000, 0.0000)
F (0.5000, 0.5000, 0.0000)
F (0.6655, 0.8327, 0.3311)
F (0.8327, 0.1673, 0.6689)
F (0.8327, 0.6655, 0.6689)